(1)
Starting from the PBE geometry in Alexandria, the powder diffraction line list of Sm2TeSe was calculated for copper Kα.
Intensities are scaled so that the largest is 100.

Atomic structure:
Lattice parameters (Å, degrees): 7.817 7.817 7.817 31.15 31.15 31.15
Positions (direct):
Sm 0.000 0.000 0.000
Sm 0.187 0.187 0.187
Te 0.426 0.426 0.426
Se 0.595 0.595 0.595

Main lines, most intense first (2θ from 10° to 90°):
d = 2.817 Å, intensity 100; d = 2.099 Å, intensity 54; d = 2.395 Å, intensity 33; d = 3.045 Å, intensity 30; d = 3.456 Å, intensity 24; d = 1.683 Å, intensity 22

---

(2)
Starting from the PBE geometry in Alexandria, the powder diffraction line list of Sm5Te2Se2 was calculated for copper Kα.
Intensities are scaled so that the largest is 100.

Atomic structure:
Lattice parameters (Å, degrees): 8.681 8.681 7.935 90.00 90.00 55.20
Positions (direct):
Sm 0.000 0.000 0.000
Sm 0.029 0.717 0.656
Sm 0.217 0.529 0.156
Sm 0.283 0.971 0.656
Sm 0.471 0.783 0.156
Sm 0.500 0.500 0.500
Sm 0.529 0.217 0.844
Sm 0.717 0.029 0.344
Sm 0.783 0.471 0.844
Sm 0.971 0.283 0.344
Te 0.202 0.202 0.000
Te 0.298 0.298 0.500
Te 0.702 0.702 0.500
Te 0.798 0.798 0.000
Se 0.146 0.854 0.356
Se 0.354 0.646 0.856
Se 0.646 0.354 0.144
Se 0.854 0.146 0.644

Main lines, most intense first (2θ from 10° to 90°):
d = 2.623 Å, intensity 100; d = 2.923 Å, intensity 85; d = 2.506 Å, intensity 77; d = 2.480 Å, intensity 74; d = 2.702 Å, intensity 68; d = 2.824 Å, intensity 45